[1]
This entry pairs a crystal structure of Bi2RhO6 with its theoretical XRD peak list. Radiation: Cu Kα. Structure: DFT lattice parameters and positions (GGA-PBE).

Principal peaks in the range 2θ = 5–70°, in order of rising 2θ:
- 28.61 deg, intensity 100.0, (1 1 0)
- 29.30 deg, intensity 96.3, (0 1 3)
- 33.41 deg, intensity 22.5, (0 2 0)
- 33.63 deg, intensity 43.9, (1 0 3)
- 47.41 deg, intensity 17.8, (2 0 0)
- 48.14 deg, intensity 66.2, (1 2 3)
- 49.18 deg, intensity 15.1, (0 0 6)
- 56.71 deg, intensity 30.9, (2 1 3)
- 56.82 deg, intensity 15.6, (1 3 0)
- 57.89 deg, intensity 28.2, (1 1 6)

Structure:
a b c (Å): 3.835 5.364 11.116
angles (deg): 90.00 90.00 90.00
Space group Immm (No. 71)
One atom of each set of equivalent atoms:
Bi (0.000, 0.000, 0.164) x4
Rh (0.000, 0.000, 0.500) x2
O (0.000, 0.238, 0.351) x8
O (0.000, 0.288, 0.000) x4

[2]
This entry pairs a crystal structure of UBi2RhO8 with its theoretical XRD peak list. Radiation: Cu Kα. Structure: DFT lattice parameters and positions (GGA-PBE).

Principal peaks in the range 2θ = 5–70°, in order of rising 2θ:
- 21.69 deg, intensity 10.8, (1 1 0)
- 24.09 deg, intensity 61.4, (1 0 -1)
- 24.60 deg, intensity 54.9, (1 0 1)
- 31.76 deg, intensity 100.0, (1 2 0)
- 34.69 deg, intensity 33.8, (0 0 2)
- 47.46 deg, intensity 44.3, (2 2 -1)
- 48.03 deg, intensity 37.1, (2 2 1)
- 60.30 deg, intensity 11.5, (0 2 3)
- 60.41 deg, intensity 11.4, (3 2 0)
- 66.37 deg, intensity 11.7, (0 4 2)

Structure:
a b c (Å): 5.166 6.719 5.178
angles (deg): 90.00 91.19 90.00
Space group P2/m (No. 10)
One atom of each set of equivalent atoms:
U (0.000, 0.000, 0.000) x1
Bi (0.500, 0.261, 0.500) x2
Rh (0.000, 0.500, 0.000) x1
O (0.177, 0.249, 0.825) x4
O (0.272, 0.500, 0.274) x2
O (0.288, 0.000, 0.290) x2

[3]
This entry pairs a crystal structure of Sr2BiRuO8 with its theoretical XRD peak list. Radiation: Cu Kα. Structure: DFT lattice parameters and positions (GGA-PBE).

Principal peaks in the range 2θ = 5–70°, in order of rising 2θ:
- 16.63 deg, intensity 39.7, (0 1 0)
- 23.26 deg, intensity 94.8, (1 -1 0)
- 23.93 deg, intensity 77.8, (1 1 0)
- 31.43 deg, intensity 100.0, (1 0 -2)
- 31.54 deg, intensity 33.1, (1 0 2)
- 33.57 deg, intensity 20.4, (0 2 0)
- 33.67 deg, intensity 20.2, (2 0 0)
- 46.29 deg, intensity 48.7, (-1 2 2)
- 46.97 deg, intensity 24.8, (2 1 -2)
- 58.70 deg, intensity 24.7, (3 0 -2)

Structure:
a b c (Å): 5.326 5.342 6.724
angles (deg): 90.09 90.28 91.61
Space group P-1 (No. 2)
One atom of each set of equivalent atoms:
Sr (0.006, 0.006, 0.256) x2
Bi (0.500, 0.500, 0.000) x1
Ru (0.500, 0.500, 0.500) x1
O (0.223, 0.223, 0.995) x2
O (0.255, 0.255, 0.507) x2
O (0.324, 0.665, 0.280) x2
O (0.334, 0.675, 0.719) x2

[4]
This entry pairs a crystal structure of Y3BiRu4O14 with its theoretical XRD peak list. Radiation: Cu Kα. Structure: DFT lattice parameters and positions (GGA-PBE).

Principal peaks in the range 2θ = 5–70°, in order of rising 2θ:
- 14.91 deg, intensity 5.9, (0 0 3)
- 17.22 deg, intensity 4.0, (0 1 2)
- 24.46 deg, intensity 4.1, (1 0 4)
- 28.75 deg, intensity 4.2, (0 2 1)
- 30.07 deg, intensity 100.0, (0 0 6)
- 34.85 deg, intensity 30.1, (0 2 4)
- 38.09 deg, intensity 4.4, (1 0 7)
- 50.12 deg, intensity 48.4, (2 2 0)
- 59.56 deg, intensity 42.0, (2 2 6)
- 62.49 deg, intensity 9.3, (4 0 4)

Structure:
a b c (Å): 7.2844 7.2844 17.8159
angles (deg): 90.00 90.00 120.00
Space group R-3m (No. 166, hexagonal axes)
One atom of each set of equivalent atoms:
Y (0.0000, 0.5000, 0.0000) x9
Bi (0.0000, 0.0000, 0.5000) x3
Ru (0.0000, 0.0000, 0.0000) x3
Ru (0.0000, 0.5000, 0.5000) x9
O (0.0000, 0.0000, 0.3715) x6
O (0.0511, 0.5255, 0.6122) x18
O (0.0576, 0.5288, 0.8609) x18